# 1
TbHfCd4: simulated X-ray powder pattern (λ = 1.5418 Å (Cu Kα)), based on a structure optimized by DFT (GGA-PBE).

Structure:
a b c (Å): 5.783 5.783 5.783
angles (deg): 60.00 60.00 60.00
Fractional positions:
Tb 0.000 0.000 0.000
Hf 0.250 0.250 0.250
Cd 0.126 0.625 0.625
Cd 0.625 0.126 0.625
Cd 0.625 0.625 0.126
Cd 0.625 0.625 0.625

Peak list (10 most intense, 2θ = 10–80°, low angle first)
d (Å), I/Imax
2.892, 40
2.466, 100
2.361, 29
2.045, 1
1.669, 16
1.574, 33
1.446, 26
1.293, 7
1.247, 11
1.233, 10

=====

# 2
Hf3CdTc: simulated X-ray powder pattern (λ = 1.5418 Å (Cu Kα)), based on a structure optimized by DFT (GGA-PBE).

Structure:
a b c (Å): 4.997 4.997 4.997
angles (deg): 90.00 90.00 90.00
Fractional positions:
Hf 0.000 0.000 0.500
Hf 0.000 0.500 0.000
Hf 0.500 0.000 0.000
Cd 0.500 0.500 0.500
Tc 0.000 0.000 0.000

Peak list (10 most intense, 2θ = 10–80°, low angle first)
d (Å), I/Imax
4.997, 26
2.885, 100
2.499, 95
2.235, 13
1.767, 67
1.666, 7
1.507, 43
1.443, 23
1.249, 11
1.212, 4